This entry pairs a crystal structure of GaAgGe2 with its theoretical X-ray powder pattern. Radiation: copper Kα. Structure: a cell relaxed with PBE.

Top 6 peaks for 10° ≤ 2θ ≤ 90°, sorted by position:
2theta, I (rel.)
36.84, 100
41.66, 35
45.02, 14
60.38, 11
63.00, 20
72.87, 26

Structure:
Cell lengths 4.3362, 4.3362, 4.0277 Å; angles 90.00, 90.00, 90.00 degrees
Space group P4/mmm (No. 123)
One atom of each set of equivalent atoms:
Ga 0.0000 0.0000 0.0000
Ag 0.5000 0.5000 0.0000
Ge 0.0000 0.5000 0.5000



This entry pairs a crystal structure of GaAgGeO4 with its theoretical X-ray powder pattern. Radiation: copper Kα. Structure: a cell relaxed with PBE.

Top 6 peaks for 10° ≤ 2θ ≤ 90°, sorted by position:
2theta, I (rel.)
20.40, 44
24.15, 19
33.21, 100
34.41, 30
58.55, 23
60.87, 32

Structure:
Cell lengths 5.2127, 5.2127, 7.9189 Å; angles 90.00, 90.00, 90.00 degrees
Space group I-4 (No. 82)
One atom of each set of equivalent atoms:
Ga 0.0000 0.0000 0.0000
Ag 0.0000 0.0000 0.5000
Ge 0.0000 0.5000 0.2500
O 0.1519 0.2604 0.1262



This entry pairs a crystal structure of GaAg2GeS4 with its theoretical X-ray powder pattern. Radiation: copper Kα. Structure: a cell relaxed with PBE.

Top 6 peaks for 10° ≤ 2θ ≤ 90°, sorted by position:
2theta, I (rel.)
27.10, 100
30.83, 13
44.15, 20
45.41, 37
52.58, 29
72.89, 13

Structure:
Cell lengths 5.8014, 5.8014, 11.0180 Å; angles 90.00, 90.00, 90.00 degrees
Space group I-4 (No. 82)
One atom of each set of equivalent atoms:
Ga 0.0000 0.0000 0.0000
Ag 0.0000 0.0000 0.5000
Ag 0.0000 0.5000 0.7500
Ge 0.0000 0.5000 0.2500
S 0.2228 0.7599 0.1214



This entry pairs a crystal structure of GaAgGeSe4 with its theoretical X-ray powder pattern. Radiation: copper Kα. Structure: a cell relaxed with PBE.

Top 6 peaks for 10° ≤ 2θ ≤ 90°, sorted by position:
2theta, I (rel.)
27.05, 100
34.51, 15
42.68, 28
45.99, 43
51.26, 32
80.50, 15

Structure:
Cell lengths 5.9919, 5.9919, 10.4926 Å; angles 90.00, 90.00, 90.00 degrees
Space group I-4 (No. 82)
One atom of each set of equivalent atoms:
Ga 0.0000 0.0000 0.0000
Ag 0.0000 0.0000 0.5000
Ge 0.0000 0.5000 0.2500
Se 0.2325 0.2375 0.1372



This entry pairs a crystal structure of Sr2Ga3Ag4Ge with its theoretical X-ray powder pattern. Radiation: copper Kα. Structure: a cell relaxed with PBE.

Top 6 peaks for 10° ≤ 2θ ≤ 90°, sorted by position:
2theta, I (rel.)
31.44, 53
32.37, 100
39.81, 71
43.44, 41
45.96, 26
51.59, 25

Structure:
Cell lengths 4.5285, 4.5285, 10.9718 Å; angles 90.00, 90.00, 90.00 degrees
Space group P-4m2 (No. 115)
One atom of each set of equivalent atoms:
Sr 0.0000 0.5000 0.2470
Ga 0.0000 0.0000 0.0000
Ga 0.0000 0.5000 0.6270
Ag 0.0000 0.0000 0.5000
Ag 0.0000 0.5000 0.8657
Ag 0.5000 0.5000 0.5000
Ge 0.5000 0.5000 0.0000



This entry pairs a crystal structure of SrGa2AgGe with its theoretical X-ray powder pattern. Radiation: copper Kα. Structure: a cell relaxed with PBE.

Top 6 peaks for 10° ≤ 2θ ≤ 90°, sorted by position:
2theta, I (rel.)
31.42, 19
31.65, 21
32.75, 100
40.16, 29
40.91, 28
43.60, 32

Structure:
Cell lengths 4.4124, 4.4909, 11.0441 Å; angles 90.00, 90.00, 90.00 degrees
Space group Imm2 (No. 44)
One atom of each set of equivalent atoms:
Sr 0.0000 0.0000 0.0000
Ga 0.0000 0.0000 0.3816
Ga 0.0000 0.5000 0.2516
Ag 0.0000 0.5000 0.7478
Ge 0.0000 0.0000 0.6112